For LiMn2P2O8, a cell relaxed with PBE+U gives the calculated powder diffraction line list in this record (Cu Kα, 1.54184 Å).

The 12 most intense peaks (2θ = 10–90°), by angle:
two_theta	d_spacing	I/Imax
14.38	6.159	100.0
16.33	5.427	43.6
21.82	4.073	18.7
25.66	3.471	20.5
28.08	3.177	62.7
29.66	3.012	26.3
29.94	2.984	20.7
33.01	2.714	36.1
33.44	2.679	67.9
34.96	2.567	22.4
36.17	2.483	20.4
41.19	2.191	27.0

Structure:
abc: 8.674 8.674 6.716
angles: 108.84 108.84 90.49
Atoms (fractional coordinates):
Li: 0.000 0.000 0.000
Li: 0.488 0.511 0.249
Li: 0.489 0.512 0.751
Mn: 0.053 0.391 0.888
Mn: 0.253 0.747 0.500
Mn: 0.373 0.077 0.397
Mn: 0.609 0.947 0.112
Mn: 0.718 0.282 0.000
Mn: 0.923 0.627 0.603
P: 0.117 0.355 0.375
P: 0.278 0.722 0.000
P: 0.335 0.140 0.881
P: 0.645 0.883 0.625
P: 0.698 0.302 0.500
P: 0.860 0.665 0.119
O: 0.033 0.414 0.559
O: 0.157 0.748 0.789
O: 0.163 0.189 0.880
O: 0.165 0.180 0.350
O: 0.252 0.843 0.211
O: 0.262 0.546 0.014
O: 0.266 0.483 0.440
O: 0.319 0.011 0.651
O: 0.396 0.054 0.061
O: 0.454 0.738 0.986
O: 0.459 0.292 0.942
O: 0.517 0.734 0.560
O: 0.523 0.287 0.515
O: 0.586 0.967 0.441
O: 0.664 0.016 0.854
O: 0.708 0.541 0.058
O: 0.713 0.477 0.485
O: 0.721 0.183 0.286
O: 0.811 0.837 0.120
O: 0.817 0.279 0.714
O: 0.820 0.835 0.650
O: 0.946 0.604 0.939
O: 0.984 0.336 0.146
O: 0.989 0.681 0.349

---

For Li2Mn2P3O12, a cell relaxed with PBE+U gives the calculated powder diffraction line list in this record (Cu Kα, 1.54184 Å).

The 12 most intense peaks (2θ = 10–90°), by angle:
two_theta	d_spacing	I/Imax
14.17	6.249	66.9
19.68	4.510	76.1
20.49	4.335	100.0
21.22	4.186	55.2
23.45	3.794	50.7
24.16	3.684	55.7
24.28	3.665	80.9
24.59	3.620	93.4
24.89	3.577	39.3
28.57	3.124	60.9
29.56	3.022	42.5
29.88	2.990	43.6

Structure:
abc: 8.366 8.395 8.670
angles: 61.44 89.25 61.80
Atoms (fractional coordinates):
Li: 0.105 0.132 0.140
Li: 0.307 0.692 0.453
Li: 0.693 0.308 0.547
Li: 0.895 0.868 0.860
Mn: 0.147 0.201 0.445
Mn: 0.366 0.777 0.075
Mn: 0.634 0.223 0.925
Mn: 0.853 0.799 0.555
P: 0.039 0.707 0.253
P: 0.245 0.719 0.738
P: 0.463 0.009 0.250
P: 0.537 0.991 0.750
P: 0.755 0.281 0.262
P: 0.961 0.293 0.747
O: 0.015 0.779 0.395
O: 0.029 0.509 0.317
O: 0.045 0.750 0.733
O: 0.106 0.111 0.932
O: 0.239 0.903 0.556
O: 0.244 0.654 0.246
O: 0.300 0.184 0.273
O: 0.301 0.711 0.908
O: 0.350 0.147 0.600
O: 0.380 0.524 0.729
O: 0.384 0.872 0.249
O: 0.481 0.132 0.059
O: 0.519 0.868 0.941
O: 0.616 0.128 0.751
O: 0.620 0.476 0.271
O: 0.650 0.853 0.400
O: 0.699 0.289 0.092
O: 0.700 0.816 0.727
O: 0.756 0.346 0.754
O: 0.761 0.097 0.444
O: 0.894 0.889 0.068
O: 0.955 0.250 0.267
O: 0.971 0.491 0.683
O: 0.985 0.221 0.605

---

For LiMnP2O8, a cell relaxed with PBE+U gives the calculated powder diffraction line list in this record (Cu Kα, 1.54184 Å).

The 12 most intense peaks (2θ = 10–90°), by angle:
two_theta	d_spacing	I/Imax
14.39	6.154	100.0
20.62	4.308	39.2
21.28	4.175	17.9
24.33	3.659	34.9
24.48	3.636	81.1
24.86	3.582	56.3
25.98	3.430	56.2
27.17	3.282	26.0
33.51	2.674	14.9
34.37	2.610	49.4
36.76	2.445	41.8
55.71	1.650	14.9

Structure:
abc: 4.802 17.059 7.882
angles: 90.00 123.16 90.00
Atoms (fractional coordinates):
Li: 0.213 0.115 0.499
Li: 0.213 0.385 0.999
Li: 0.787 0.615 0.001
Li: 0.787 0.885 0.501
Mn: 0.307 0.630 0.512
Mn: 0.307 0.870 0.012
Mn: 0.693 0.130 0.988
Mn: 0.693 0.370 0.488
P: 0.000 0.034 0.774
P: 0.000 0.466 0.274
P: 0.000 0.534 0.726
P: 0.000 0.966 0.226
P: 0.402 0.212 0.229
P: 0.402 0.288 0.729
P: 0.598 0.712 0.271
P: 0.598 0.788 0.771
O: 0.011 0.557 0.294
O: 0.011 0.943 0.794
O: 0.056 0.193 0.035
O: 0.056 0.307 0.535
O: 0.092 0.552 0.943
O: 0.092 0.948 0.443
O: 0.294 0.566 0.712
O: 0.294 0.934 0.212
O: 0.323 0.692 0.313
O: 0.323 0.808 0.813
O: 0.327 0.070 0.946
O: 0.327 0.430 0.446
O: 0.393 0.196 0.756
O: 0.393 0.304 0.256
O: 0.481 0.172 0.422
O: 0.481 0.328 0.922
O: 0.519 0.672 0.078
O: 0.519 0.828 0.578
O: 0.607 0.696 0.744
O: 0.607 0.804 0.244
O: 0.673 0.570 0.554
O: 0.673 0.930 0.054
O: 0.677 0.192 0.187
O: 0.677 0.308 0.687
O: 0.706 0.066 0.788
O: 0.706 0.434 0.288
O: 0.908 0.052 0.557
O: 0.908 0.448 0.057
O: 0.944 0.693 0.465
O: 0.944 0.807 0.965
O: 0.989 0.057 0.206
O: 0.989 0.443 0.706

---

> Which formula does entry 1 have?

LiMn2P2O8